Sc2Te5O13: theoretical powder X-ray diffraction pattern (CuKα), based on a crystal structure in the Materials Project, relaxed with PBE.
No peak broadening, texture or thermal motion is included.

```
Sc2Te5O13
1.0
6.6974 0.0000 0.0000
2.4309 8.3671 0.0000
0.6697 0.4676 10.5894
Sc Te O
4 10 26
Cartesian
0.8543 2.2832 2.6275
5.8673 8.3811 8.5750
3.9307 0.4536 2.0144
8.9437 6.5515 7.9619
3.1138 7.2722 1.0716
2.2611 2.7746 6.7998
4.2874 7.7335 5.1185
3.5095 3.6290 10.3707
4.2371 3.5615 3.1516
5.5608 5.2732 7.4378
6.2885 5.2057 0.2187
5.5106 1.1012 5.4709
7.5369 6.0602 3.7896
6.6842 1.5625 9.5178
2.6273 7.4012 6.0182
1.1478 2.7884 0.5876
2.5234 6.5656 2.9577
2.2634 4.6094 7.3440
1.5750 0.4383 9.6489
1.7049 0.2322 1.9805
4.3281 6.4823 8.2277
2.9247 2.1818 3.0430
2.6975 0.3455 6.5409
3.6474 4.1878 1.2435
3.4206 2.1763 8.1952
5.0723 5.9929 5.5085
3.6622 1.4802 0.1936
6.1357 7.3546 10.3958
4.7256 2.8419 5.0809
6.3773 6.6585 2.3942
6.1505 4.6470 9.3459
7.1004 8.4892 4.0485
6.8732 6.6529 7.5464
5.4699 2.3524 2.3617
8.0931 8.6026 8.6089
8.2230 8.3965 0.9405
7.5345 4.2253 3.2455
7.2745 2.2691 7.6317
8.6501 6.0463 10.0018
7.1706 1.4335 4.5712
```

Principal peaks in the range 15° ≤ 2θ ≤ 90°, by intensity:
28.71 deg, I 100, (2 1 -1); 26.71 deg, I 97, (1 2 2); 27.86 deg, I 85, (0 1 -3); 28.52 deg, I 73, (1 -2 0); 31.88 deg, I 54, (2 0 2); 45.94 deg, I 44, (3 3 1); 32.33 deg, I 41, (-1 1 3); 47.72 deg, I 41, (-3 1 1); 32.97 deg, I 35, (1 3 -1); 21.93 deg, I 23, (1 2 0)